1.
Theoretical powder XRD pattern
Compound: Tb8Pr3Dy2
Radiation: Cu Kα (weighted mean of Kα1 and Kα2)
Structure: a DFT-relaxed cell (GGA-PBE, Alexandria)
No peak broadening, texture or thermal motion is included.

Peak list (10 most intense, 5 to 70 degrees two-theta, in order of rising 2θ)
2theta	d [Å]	Rel. int.	(hkl)
28.38	3.144	35	2 2 2
30.09	2.970	100	1 1 -4
30.47	2.933	88	1 3 3
30.71	2.912	24	2 4 -1
31.18	2.869	79	1 5 -1
31.84	2.810	45	3 1 -2
33.40	2.683	38	2 2 3
36.51	2.461	17	1 3 4
58.73	1.572	19	5 5 -1
61.25	1.513	20	2 0 -8

Crystal structure
Cell: 9.1380 15.4302 12.3859 Å, 90.00 97.31 90.00°
Space group C2/c (No. 15)
One atom of each set of equivalent atoms:
Tb 0.0879 0.2309 0.0352 x8
Tb 0.1848 0.1409 0.2858 x8
Tb 0.2027 0.0728 0.8155 x8
Tb 0.2466 0.3488 0.4476 x8
Pr 0.0000 0.0000 0.0000 x4
Pr 0.0000 0.2527 0.7500 x4
Pr 0.0000 0.3436 0.2500 x4
Dy 0.0662 0.4430 0.8965 x8

=====

2.
Theoretical powder XRD pattern
Compound: Tb2PrDy6
Radiation: Cu Kα (weighted mean of Kα1 and Kα2)
Structure: a DFT-relaxed cell (GGA-PBE, Alexandria)
No peak broadening, texture or thermal motion is included.

Peak list (10 most intense, 5 to 70 degrees two-theta, in order of rising 2θ)
2theta	d [Å]	Rel. int.	(hkl)
28.01	3.185	49	0 0 6
28.35	3.148	100	0 2 1
29.51	3.027	19	2 0 2
33.77	2.654	77	0 2 4
36.69	2.450	85	2 0 5
43.63	2.074	18	0 2 7
49.46	1.843	43	2 2 0
56.10	1.639	17	0 2 10
57.81	1.595	26	2 2 6
60.70	1.526	19	2 0 11

Crystal structure
Cell: 7.3712 7.3712 19.1059 Å, 90.00 90.00 120.00°
Space group R3m (No. 160, hexagonal axes)
One atom of each set of equivalent atoms:
Tb 0.0000 0.0000 0.0000 x3
Tb 0.0000 0.0000 0.1757 x3
Pr 0.0000 0.0000 0.7372 x3
Dy 0.0150 0.5075 0.1881 x9
Dy 0.0445 0.5222 0.9902 x9

=====

3.
Theoretical powder XRD pattern
Compound: Tb9Pr2Dy3
Radiation: Cu Kα (weighted mean of Kα1 and Kα2)
Structure: a DFT-relaxed cell (GGA-PBE, Alexandria)
No peak broadening, texture or thermal motion is included.

Peak list (10 most intense, 5 to 70 degrees two-theta, in order of rising 2θ)
2theta	d [Å]	Rel. int.	(hkl)
24.54	3.628	34	0 2 1
28.09	3.177	78	2 2 1
29.29	3.049	30	4 2 0
30.25	2.954	58	4 2 -1
31.01	2.884	87	4 0 -2
31.90	2.806	100	6 0 0
32.46	2.758	99	2 0 2
34.36	2.610	57	3 3 0
34.49	2.601	71	1 3 1
40.94	2.204	31	5 3 -1

Crystal structure
Cell: 17.3329 8.8465 6.5296 Å, 90.00 103.78 90.00°
Space group C2/m (No. 12)
One atom of each set of equivalent atoms:
Tb 0.0000 0.0000 0.0000 x2
Tb 0.1616 0.2636 0.3078 x8
Tb 0.1641 0.1702 0.8285 x8
Pr 0.0000 0.3056 0.5000 x4
Dy 0.0000 0.5000 0.0000 x2
Dy 0.1928 0.5000 0.7518 x4

=====

4.
Theoretical powder XRD pattern
Compound: Tb4PrDy4
Radiation: Cu Kα (weighted mean of Kα1 and Kα2)
Structure: a DFT-relaxed cell (GGA-PBE, Alexandria)
No peak broadening, texture or thermal motion is included.

Peak list (6 most intense, 5 to 70 degrees two-theta, in order of rising 2θ)
2theta	d [Å]	Rel. int.	(hkl)
30.68	2.914	100	3 0 1
35.57	2.524	51	3 3 0
51.19	1.785	36	6 0 0
60.83	1.523	29	6 3 1
60.94	1.520	14	3 0 3
63.88	1.457	12	6 0 2

Crystal structure
Cell: 10.7155 10.7155 5.0403 Å, 90.00 90.00 90.00°
Space group I4/mmm (No. 139)
One atom of each set of equivalent atoms:
Tb 0.1677 0.1677 0.0000 x8
Pr 0.0000 0.0000 0.5000 x2
Dy 0.0000 0.3346 0.5000 x8

=====

5.
Theoretical powder XRD pattern
Compound: Tb3Pr6Dy
Radiation: Cu Kα (weighted mean of Kα1 and Kα2)
Structure: a DFT-relaxed cell (GGA-PBE, Alexandria)
No peak broadening, texture or thermal motion is included.

Peak list (10 most intense, 5 to 70 degrees two-theta, in order of rising 2θ)
2theta	d [Å]	Rel. int.	(hkl)
28.04	3.182	59	2 4 1
28.37	3.146	30	0 6 1
28.73	3.107	22	0 2 2
30.36	2.944	60	1 7 0
30.63	2.918	100	3 1 1
31.57	2.834	56	1 3 2
32.20	2.780	42	0 4 2
32.85	2.726	59	3 3 1
33.74	2.656	26	2 6 1
55.03	1.669	29	5 7 0

Crystal structure
Cell: 9.9204 21.5782 6.4886 Å, 90.00 90.00 90.00°
Space group Cmc2_1 (No. 36)
One atom of each set of equivalent atoms:
Tb 0.0000 0.0793 0.0000 x4
Tb 0.1671 0.3747 0.5949 x8
Pr 0.0000 0.1997 0.2866 x4
Pr 0.0000 0.4836 0.2707 x4
Pr 0.1745 0.2193 0.7668 x8
Pr 0.1806 0.0606 0.5196 x8
Dy 0.0000 0.3428 0.0690 x4

=====

6.
Theoretical powder XRD pattern
Compound: TbPr6Dy12
Radiation: Cu Kα (weighted mean of Kα1 and Kα2)
Structure: a DFT-relaxed cell (GGA-PBE, Alexandria)
No peak broadening, texture or thermal motion is included.

Peak list (10 most intense, 5 to 70 degrees two-theta, in order of rising 2θ)
2theta	d [Å]	Rel. int.	(hkl)
28.74	3.106	26	1 3 1
29.17	3.061	51	1 0 4
31.28	2.860	59	3 1 2
31.41	2.848	66	0 3 3
31.78	2.815	100	4 0 1
34.11	2.628	42	0 4 2
34.24	2.619	26	2 2 3
34.58	2.594	25	3 2 1
55.09	1.667	26	4 4 0
56.47	1.629	29	4 3 4

Crystal structure
Cell: 13.3353 13.3353 12.6998 Å, 90.00 90.00 120.00°
Space group R-3m (No. 166, hexagonal axes)
One atom of each set of equivalent atoms:
Tb 0.0000 0.0000 0.0000 x3
Pr 0.0398 0.5199 0.6169 x18
Dy 0.0000 0.2565 0.5000 x18
Dy 0.0914 0.1827 0.2642 x18

=====

7.
Theoretical powder XRD pattern
Compound: Tb3Pr2Dy6
Radiation: Cu Kα (weighted mean of Kα1 and Kα2)
Structure: a DFT-relaxed cell (GGA-PBE, Alexandria)
No peak broadening, texture or thermal motion is included.

Peak list (10 most intense, 5 to 70 degrees two-theta, in order of rising 2θ)
2theta	d [Å]	Rel. int.	(hkl)
7.64	11.569	9	0 0 1
15.32	5.785	2	0 0 2
16.89	5.249	1	1 1 0
17.45	5.082	1	1 1 -1
30.92	2.892	100	1 3 1
35.85	2.505	51	2 0 2
51.61	1.771	36	0 6 0
61.34	1.511	28	2 6 -2
61.46	1.509	14	4 0 0
64.43	1.446	12	2 6 2

Crystal structure
Cell: 6.1309 10.6337 11.7531 Å, 90.00 100.14 90.00°
Space group C2/m (No. 12)
One atom of each set of equivalent atoms:
Tb 0.0000 0.0000 0.0000 x2
Tb 0.0000 0.3352 0.0000 x4
Pr 0.0000 0.1668 0.5000 x4
Dy 0.2490 0.1666 0.2468 x8
Dy 0.2491 0.5000 0.2467 x4

=====

8.
Theoretical powder XRD pattern
Compound: TbPr2Dy12
Radiation: Cu Kα (weighted mean of Kα1 and Kα2)
Structure: a DFT-relaxed cell (GGA-PBE, Alexandria)
No peak broadening, texture or thermal motion is included.

Peak list (10 most intense, 5 to 70 degrees two-theta, in order of rising 2θ)
2theta	d [Å]	Rel. int.	(hkl)
29.07	3.072	30	2 0 4
29.75	3.004	65	0 2 7
30.66	2.916	98	2 2 2
31.60	2.831	100	0 4 0
31.73	2.820	28	2 2 3
32.94	2.719	79	0 2 8
33.18	2.700	60	2 2 4
37.03	2.428	69	2 2 6
51.69	1.768	25	4 0 0
61.87	1.500	31	4 4 0

Crystal structure
Cell: 7.0732 11.3247 24.8027 Å, 90.00 90.00 90.00°
Space group Cmme (No. 67)
One atom of each set of equivalent atoms:
Tb 0.0000 0.2500 0.9999 x4
Pr 0.0000 0.2500 0.2652 x4
Pr 0.0000 0.2500 0.7294 x4
Dy 0.0000 0.0004 0.0774 x8
Dy 0.0000 0.0135 0.5613 x8
Dy 0.2385 0.2500 0.4162 x8
Dy 0.2494 0.2500 0.8747 x8
Dy 0.2500 0.0000 0.1984 x8
Dy 0.2500 0.0000 0.3276 x8

=====

9.
Theoretical powder XRD pattern
Compound: Tb6PrDy3
Radiation: Cu Kα (weighted mean of Kα1 and Kα2)
Structure: a DFT-relaxed cell (GGA-PBE, Alexandria)
No peak broadening, texture or thermal motion is included.

Peak list (10 most intense, 5 to 70 degrees two-theta, in order of rising 2θ)
2theta	d [Å]	Rel. int.	(hkl)
29.14	3.065	67	2 -1 3
31.46	2.844	100	3 0 0
32.24	2.777	15	1 0 4
41.60	2.171	14	3 -1 4
43.41	2.085	23	2 2 3
49.47	1.842	10	1 3 4
54.59	1.681	23	5 -1 3
56.01	1.642	20	3 3 0
57.12	1.612	13	3 0 6
65.67	1.422	12	6 0 0

Crystal structure
Cell: 9.8507 9.8507 11.7456 Å, 90.00 90.00 120.00°
Space group R3 (No. 146, hexagonal axes)
One atom of each set of equivalent atoms:
Tb 0.9997 0.3307 0.0000 x9
Tb 0.9995 0.6713 0.4999 x9
Pr 0.0000 0.0000 0.0005 x3
Dy 0.0000 0.0000 0.2545 x3
Dy 0.0000 0.0000 0.5008 x3
Dy 0.0000 0.0000 0.7476 x3

=====

10.
Theoretical powder XRD pattern
Compound: TbPr7Dy3
Radiation: Cu Kα (weighted mean of Kα1 and Kα2)
Structure: a DFT-relaxed cell (GGA-PBE, Alexandria)
No peak broadening, texture or thermal motion is included.

Peak list (10 most intense, 5 to 70 degrees two-theta, in order of rising 2θ)
2theta	d [Å]	Rel. int.	(hkl)
28.55	3.126	22	2 2 -2
29.23	3.055	20	0 2 2
30.79	2.904	50	6 0 0
31.47	2.843	100	0 0 4
32.80	2.731	31	6 0 -4
33.32	2.689	53	2 2 2
49.86	1.829	26	4 2 -6
59.44	1.555	15	10 2 -6
60.07	1.540	15	2 2 6
60.23	1.536	14	6 4 0

Crystal structure
Cell: 19.4696 7.2429 12.7156 Å, 90.00 116.51 90.00°
Space group C2/c (No. 15)
One atom of each set of equivalent atoms:
Tb 0.0000 0.0000 0.0000 x4
Pr 0.0000 0.2133 0.2500 x4
Pr 0.1586 0.4946 0.7729 x8
Pr 0.1657 0.2468 0.0248 x8
Pr 0.1675 0.2474 0.5281 x8
Dy 0.0000 0.5000 0.0000 x4
Dy 0.1709 0.0031 0.2738 x8

=====

11.
Theoretical powder XRD pattern
Compound: Tb4Pr15Dy
Radiation: Cu Kα (weighted mean of Kα1 and Kα2)
Structure: a DFT-relaxed cell (GGA-PBE, Alexandria)
No peak broadening, texture or thermal motion is included.

Peak list (8 most intense, 5 to 70 degrees two-theta, in order of rising 2θ)
2theta	d [Å]	Rel. int.	(hkl)
29.77	3.001	100	1 1 5
34.46	2.603	34	2 0 0
34.63	2.590	17	0 0 10
49.52	1.841	12	2 2 0
49.65	1.836	24	2 0 10
58.86	1.569	29	3 1 5
59.09	1.563	14	1 1 15
61.84	1.500	12	2 2 10

Crystal structure
Cell: 5.2059 5.2059 25.9031 Å, 90.00 90.00 90.00°
Space group P4/mmm (No. 123)
One atom of each set of equivalent atoms:
Tb 0.0000 0.0000 0.0999 x2
Tb 0.0000 0.0000 0.3001 x2
Pr 0.0000 0.5000 0.0000 x2
Pr 0.0000 0.5000 0.2000 x4
Pr 0.0000 0.5000 0.4002 x4
Pr 0.5000 0.5000 0.0999 x2
Pr 0.5000 0.5000 0.3001 x2
Pr 0.5000 0.5000 0.5000 x1
Dy 0.0000 0.0000 0.5000 x1